Record 1
La5Pm2Nd2: calculated XRD peak list (copper Kα), based on a structure optimized by DFT (GGA-PBE).
Neutral-atom scattering factors, no anomalous dispersion.

Crystal structure
```
data_La5Pm2Nd2
_chemical_formula_sum 'La20 Pm8 Nd8'
_space_group_name_H-M_alt 'C 1 2 1'
_space_group_IT_number 5
_cell_length_a 19.3290
_cell_length_b 7.0353
_cell_length_c 11.9803
_cell_angle_alpha 90.00
_cell_angle_beta 128.19
_cell_angle_gamma 90.00
loop_
_space_group_symop_operation_xyz
'x,y,z'
'-x,y,-z'
'x+1/2,y+1/2,z'
'-x+1/2,y+1/2,-z'
loop_
_atom_site_label
_atom_site_fract_x
_atom_site_fract_y
_atom_site_fract_z
La1 0.0522 0.9999 0.2842
La2 0.0520 0.5000 0.3202
La3 0.1441 0.3391 0.8721
La4 0.1439 0.8391 0.9160
La5 0.2498 0.3203 0.5033
Pm1 0.0000 0.1495 0.5000
Pm2 0.0000 0.6481 0.0000
Pm3 0.2502 0.1198 0.7554
Nd1 0.1294 0.1697 0.1236
Nd2 0.1291 0.6709 0.6349
```

Most intense lines, 2θ = 5–70°, in order of rising 2θ:
- hkl 3 1 1, d 3.219, intensity 89
- hkl 2 2 -2, d 3.033, intensity 100
- hkl 4 0 -4, d 2.995, intensity 83
- hkl 6 0 -1, d 2.945, intensity 51
- hkl 0 2 2, d 2.817, intensity 34
- hkl 2 2 1, d 2.809, intensity 35
- hkl 1 1 3, d 2.563, intensity 60
- hkl 3 3 1, d 1.968, intensity 23
- hkl 6 2 2, d 1.610, intensity 23
- hkl 9 3 -5, d 1.533, intensity 20

=====

Record 2
CsRbHCl2: calculated XRD peak list (copper Kα), based on a structure optimized by DFT (GGA-PBE).
Neutral-atom scattering factors, no anomalous dispersion.

Crystal structure
```
data_CsRbHCl2
_chemical_formula_sum 'Cs1 Rb1 H1 Cl2'
_space_group_name_H-M_alt 'P 1 m 1'
_space_group_IT_number 6
_cell_length_a 4.4346
_cell_length_b 5.4015
_cell_length_c 6.8734
_cell_angle_alpha 90.00
_cell_angle_beta 91.11
_cell_angle_gamma 90.00
loop_
_space_group_symop_operation_xyz
'x,y,z'
'x,-y,z'
loop_
_atom_site_label
_atom_site_fract_x
_atom_site_fract_y
_atom_site_fract_z
Cs1 0.0000 0.0000 0.0000
Rb1 0.5285 0.5000 0.5003
H1 0.5409 0.0000 0.5007
Cl1 0.0400 0.0000 0.5005
Cl2 0.5026 0.5000 0.0003
```

Most intense lines, 2θ = 5–70°, in order of rising 2θ:
- hkl 0 1 1, d 4.247, intensity 26
- hkl 1 0 -1, d 3.759, intensity 10
- hkl 1 0 1, d 3.693, intensity 10
- hkl 0 0 2, d 3.430, intensity 100
- hkl 0 2 0, d 2.701, intensity 18
- hkl 1 1 -2, d 2.445, intensity 25
- hkl 1 1 2, d 2.408, intensity 24
- hkl 2 0 0, d 2.217, intensity 9
- hkl 0 2 2, d 2.123, intensity 17
- hkl 2 2 0, d 1.714, intensity 8

=====

Record 3
Sm3MnTl3S8: calculated XRD peak list (copper Kα), based on a structure optimized by DFT (GGA-PBE).
Neutral-atom scattering factors, no anomalous dispersion.

Crystal structure
```
data_Sm3MnTl3S8
_chemical_formula_sum 'Sm9 Mn3 Tl9 S24'
_space_group_name_H-M_alt 'R -3 m'
_space_group_IT_number 166
_space_group_name_Hall '-R 3 2"'
_cell_length_a 7.9557
_cell_length_b 7.9557
_cell_length_c 22.7984
_cell_angle_alpha 90.00
_cell_angle_beta 90.00
_cell_angle_gamma 120.00
loop_
_atom_site_label
_atom_site_fract_x
_atom_site_fract_y
_atom_site_fract_z
Sm1 0.0000 0.5000 0.0000
Mn1 0.0000 0.0000 0.0000
Tl1 0.0000 0.5000 0.5000
S1 0.0000 0.0000 0.2651
S2 0.0415 0.5208 0.7277
```

Most intense lines, 2θ = 5–70°, in order of rising 2θ:
- hkl 0 1 2, d 5.896, intensity 23
- hkl 0 0 6, d 3.800, intensity 30
- hkl 2 0 2, d 3.298, intensity 55
- hkl 0 2 4, d 2.948, intensity 100
- hkl 2 0 8, d 2.196, intensity 38
- hkl 2 2 0, d 1.989, intensity 32
- hkl 0 2 10, d 1.901, intensity 18
- hkl 2 2 6, d 1.762, intensity 23
- hkl 4 0 4, d 1.649, intensity 17
- hkl 2 2 12, d 1.374, intensity 20

=====

Record 4
LiMg14BO15: calculated XRD peak list (copper Kα), based on a structure optimized by DFT (GGA-PBE).
Neutral-atom scattering factors, no anomalous dispersion.

Crystal structure
```
data_LiMg14BO15
_chemical_formula_sum 'Li1 Mg14 B1 O15'
_space_group_name_H-M_alt 'P m m 2'
_space_group_IT_number 25
_cell_length_a 4.2385
_cell_length_b 8.6383
_cell_length_c 8.3394
_cell_angle_alpha 90.00
_cell_angle_beta 90.00
_cell_angle_gamma 90.00
loop_
_space_group_symop_operation_xyz
'x,y,z'
'-x,-y,z'
'-x,y,z'
'x,-y,z'
loop_
_atom_site_label
_atom_site_fract_x
_atom_site_fract_y
_atom_site_fract_z
Li1 0.0000 0.0000 0.0000
Mg1 0.0000 0.0000 0.5005
Mg2 0.0000 0.2378 0.2523
Mg3 0.0000 0.2375 0.7486
Mg4 0.0000 0.5000 0.0017
Mg5 0.5000 0.0000 0.2442
Mg6 0.5000 0.0000 0.7561
Mg7 0.5000 0.2447 0.9997
Mg8 0.5000 0.2508 0.5003
Mg9 0.5000 0.5000 0.2637
Mg10 0.5000 0.5000 0.7407
B1 0.0000 0.5000 0.5143
O1 0.0000 0.0000 0.2526
O2 0.0000 0.0000 0.7479
O3 0.0000 0.2439 0.5003
O4 0.0000 0.2696 0.9995
O5 0.0000 0.5000 0.6850
O6 0.5000 0.0000 0.0007
O7 0.5000 0.0000 0.4993
O8 0.5000 0.2549 0.7502
O9 0.5000 0.2570 0.2500
O10 0.5000 0.5000 0.5004
O11 0.5000 0.5000 0.9969
```

Most intense lines, 2θ = 5–70°, in order of rising 2θ:
- hkl 0 1 1, d 6.000, intensity 9
- hkl 1 1 1, d 3.462, intensity 9
- hkl 0 1 3, d 2.646, intensity 5
- hkl 1 2 2, d 2.449, intensity 28
- hkl 0 4 0, d 2.160, intensity 100
- hkl 2 0 0, d 2.119, intensity 97
- hkl 0 0 4, d 2.085, intensity 86
- hkl 2 4 0, d 1.513, intensity 54
- hkl 0 4 4, d 1.500, intensity 49
- hkl 2 0 4, d 1.486, intensity 49

=====

Record 5
Nd4PbAu: calculated XRD peak list (copper Kα), based on a structure optimized by DFT (GGA-PBE).
Neutral-atom scattering factors, no anomalous dispersion.

Crystal structure
```
data_Nd4PbAu
_chemical_formula_sum 'Nd4 Pb1 Au1'
_space_group_name_H-M_alt 'P 4/m m m'
_space_group_IT_number 123
_space_group_name_Hall '-P 4 2'
_cell_length_a 5.1805
_cell_length_b 5.1805
_cell_length_c 7.6258
_cell_angle_alpha 90.00
_cell_angle_beta 90.00
_cell_angle_gamma 90.00
loop_
_atom_site_label
_atom_site_fract_x
_atom_site_fract_y
_atom_site_fract_z
Nd1 0.0000 0.5000 0.2322
Pb1 0.0000 0.0000 0.5000
Au1 0.5000 0.5000 0.0000
```

Most intense lines, 2θ = 5–70°, in order of rising 2θ:
- hkl 1 0 1, d 4.285, intensity 58
- hkl 1 1 2, d 2.642, intensity 100
- hkl 2 0 0, d 2.590, intensity 49
- hkl 1 0 3, d 2.282, intensity 12
- hkl 2 1 1, d 2.217, intensity 21
- hkl 0 0 4, d 1.906, intensity 9
- hkl 2 2 0, d 1.832, intensity 18
- hkl 2 1 3, d 1.712, intensity 10
- hkl 2 0 4, d 1.535, intensity 18
- hkl 3 1 2, d 1.505, intensity 36

=====

Record 6
Tb2Al3Si2: calculated XRD peak list (copper Kα), based on a structure optimized by DFT (GGA-PBE).
Neutral-atom scattering factors, no anomalous dispersion.

Crystal structure
```
data_Tb2Al3Si2
_chemical_formula_sum 'Tb4 Al6 Si4'
_space_group_name_H-M_alt 'C 1 2/m 1'
_space_group_IT_number 12
_cell_length_a 10.2220
_cell_length_b 4.0670
_cell_length_c 6.6301
_cell_angle_alpha 90.00
_cell_angle_beta 101.34
_cell_angle_gamma 90.00
loop_
_space_group_symop_operation_xyz
'x,y,z'
'-x,-y,-z'
'-x,y,-z'
'x,-y,z'
'x+1/2,y+1/2,z'
'-x+1/2,-y+1/2,-z'
'-x+1/2,y+1/2,-z'
'x+1/2,-y+1/2,z'
loop_
_atom_site_label
_atom_site_fract_x
_atom_site_fract_y
_atom_site_fract_z
Tb1 0.1199 0.0000 0.3225
Al1 0.0000 0.5000 0.0000
Al2 0.1945 0.0000 0.8665
Si1 0.0930 0.5000 0.6406
```

Most intense lines, 2θ = 5–70°, in order of rising 2θ:
- hkl 0 0 1, d 6.501, intensity 35
- hkl 2 0 -1, d 4.410, intensity 41
- hkl 1 1 0, d 3.769, intensity 47
- hkl 2 0 1, d 3.638, intensity 42
- hkl 1 1 1, d 3.161, intensity 73
- hkl 3 1 0, d 2.582, intensity 42
- hkl 1 1 -2, d 2.557, intensity 100
- hkl 3 1 -1, d 2.535, intensity 53
- hkl 4 0 0, d 2.508, intensity 61
- hkl 0 2 0, d 2.034, intensity 31

=====

Record 7
Pr6PdRu2Cl3: calculated XRD peak list (copper Kα), based on a structure optimized by DFT (GGA-PBE).
Neutral-atom scattering factors, no anomalous dispersion.

Crystal structure
```
data_Pr6PdRu2Cl3
_chemical_formula_sum 'Pr12 Pd2 Ru4 Cl6'
_space_group_name_H-M_alt 'C 1 2/m 1'
_space_group_IT_number 12
_cell_length_a 7.1179
_cell_length_b 12.3374
_cell_length_c 8.0530
_cell_angle_alpha 90.00
_cell_angle_beta 107.08
_cell_angle_gamma 90.00
loop_
_space_group_symop_operation_xyz
'x,y,z'
'-x,-y,-z'
'-x,y,-z'
'x,-y,z'
'x+1/2,y+1/2,z'
'-x+1/2,-y+1/2,-z'
'-x+1/2,y+1/2,-z'
'x+1/2,-y+1/2,z'
loop_
_atom_site_label
_atom_site_fract_x
_atom_site_fract_y
_atom_site_fract_z
Pr1 0.2206 0.0000 0.2075
Pr2 0.2431 0.3260 0.2077
Pd1 0.0000 0.5000 0.0000
Ru1 0.0000 0.1663 0.0000
Cl1 0.0000 0.0000 0.5000
Cl2 0.0000 0.3277 0.5000
```

Most intense lines, 2θ = 5–70°, in order of rising 2θ:
- hkl 0 0 1, d 7.698, intensity 36
- hkl 1 3 -1, d 3.402, intensity 15
- hkl 2 0 -2, d 3.030, intensity 100
- hkl 1 3 2, d 2.420, intensity 18
- hkl 1 3 -3, d 2.242, intensity 33
- hkl 0 6 0, d 2.055, intensity 35
- hkl 2 0 3, d 1.808, intensity 13
- hkl 2 6 -2, d 1.701, intensity 17
- hkl 4 0 -4, d 1.515, intensity 9
- hkl 3 3 -5, d 1.405, intensity 9

=====

Record 8
HoGa4Pt2Rh: calculated XRD peak list (copper Kα), based on a structure optimized by DFT (GGA-PBE).
Neutral-atom scattering factors, no anomalous dispersion.

Crystal structure
```
data_HoGa4Pt2Rh
_chemical_formula_sum 'Ho3 Ga12 Pt6 Rh3'
_space_group_name_H-M_alt 'R -3 m'
_space_group_IT_number 166
_space_group_name_Hall '-R 3 2"'
_cell_length_a 4.2803
_cell_length_b 4.2803
_cell_length_c 25.7270
_cell_angle_alpha 90.00
_cell_angle_beta 90.00
_cell_angle_gamma 120.00
loop_
_atom_site_label
_atom_site_fract_x
_atom_site_fract_y
_atom_site_fract_z
Ho1 0.0000 0.0000 0.0000
Ga1 0.0000 0.0000 0.1323
Ga2 0.0000 0.0000 0.3967
Pt1 0.0000 0.0000 0.2396
Rh1 0.0000 0.0000 0.5000
```

Most intense lines, 2θ = 5–70°, in order of rising 2θ:
- hkl 1 0 4, d 3.212, intensity 43
- hkl 0 1 5, d 3.008, intensity 17
- hkl 0 1 8, d 2.429, intensity 98
- hkl 1 1 0, d 2.140, intensity 100
- hkl 0 1 11, d 1.978, intensity 15
- hkl 0 2 4, d 1.781, intensity 8
- hkl 1 0 13, d 1.745, intensity 12
- hkl 2 0 8, d 1.606, intensity 27
- hkl 1 1 12, d 1.515, intensity 13
- hkl 1 0 16, d 1.475, intensity 8

=====

Record 9
LaAsRuS: calculated XRD peak list (copper Kα), based on a structure optimized by DFT (GGA-PBE).
Neutral-atom scattering factors, no anomalous dispersion.

Crystal structure
```
data_LaAsRuS
_chemical_formula_sum 'La2 As2 Ru2 S2'
_space_group_name_H-M_alt 'P 4/n m m'
_space_group_IT_number 129
_cell_length_a 4.4105
_cell_length_b 4.4105
_cell_length_c 8.9865
_cell_angle_alpha 90.00
_cell_angle_beta 90.00
_cell_angle_gamma 90.00
loop_
_space_group_symop_operation_xyz
'x,y,z'
'-x,-y,-z'
'-y+1/2,x,z'
'y+1/2,-x,-z'
'-x+1/2,-y+1/2,z'
'x+1/2,y+1/2,-z'
'y,-x+1/2,z'
'-y,x+1/2,-z'
'x+1/2,-y,-z'
'-x+1/2,y,z'
'-y,-x,-z'
'y,x,z'
'-x,y+1/2,-z'
'x,-y+1/2,z'
'y+1/2,x+1/2,-z'
'-y+1/2,-x+1/2,z'
loop_
_atom_site_label
_atom_site_fract_x
_atom_site_fract_y
_atom_site_fract_z
La1 0.2500 0.2500 0.1848
As1 0.2500 0.2500 0.6303
Ru1 0.2500 0.7500 0.5000
S1 0.2500 0.7500 0.0000
```

Most intense lines, 2θ = 5–70°, in order of rising 2θ:
- hkl 0 0 1, d 8.987, intensity 40
- hkl 1 0 1, d 3.959, intensity 27
- hkl 1 0 2, d 3.148, intensity 100
- hkl 1 1 2, d 2.562, intensity 100
- hkl 1 0 3, d 2.478, intensity 15
- hkl 2 0 0, d 2.205, intensity 72
- hkl 1 0 4, d 2.002, intensity 19
- hkl 1 1 4, d 1.823, intensity 31
- hkl 2 1 2, d 1.806, intensity 40
- hkl 2 2 0, d 1.558, intensity 46

=====

Record 10
Ho3Se3O: calculated XRD peak list (copper Kα), based on a structure optimized by DFT (GGA-PBE).
Neutral-atom scattering factors, no anomalous dispersion.

Crystal structure
```
data_Ho3Se3O
_chemical_formula_sum 'Ho12 Se12 O4'
_space_group_name_H-M_alt 'C m c m'
_space_group_IT_number 63
_space_group_name_Hall '-C 2c 2'
_cell_length_a 8.7279
_cell_length_b 15.0931
_cell_length_c 5.6799
_cell_angle_alpha 90.00
_cell_angle_beta 90.00
_cell_angle_gamma 90.00
loop_
_atom_site_label
_atom_site_fract_x
_atom_site_fract_y
_atom_site_fract_z
Ho1 0.0000 0.1902 0.2500
Ho2 0.2140 0.4049 0.2500
Se1 0.0000 0.1812 0.7500
Se2 0.2271 0.4093 0.7500
O1 0.0000 0.3331 0.2500
```

Most intense lines, 2θ = 5–70°, in order of rising 2θ:
- hkl 1 1 1, d 4.539, intensity 37
- hkl 1 3 0, d 4.360, intensity 40
- hkl 0 4 0, d 3.776, intensity 100
- hkl 0 4 1, d 3.145, intensity 28
- hkl 3 1 0, d 2.855, intensity 74
- hkl 0 0 2, d 2.840, intensity 71
- hkl 0 4 2, d 2.270, intensity 50
- hkl 2 6 0, d 2.180, intensity 65
- hkl 3 1 2, d 2.013, intensity 54
- hkl 2 6 2, d 1.729, intensity 63

=====

Record 11
Hg3Rh2: calculated XRD peak list (copper Kα), based on a structure optimized by DFT (GGA-PBE).
Neutral-atom scattering factors, no anomalous dispersion.

Crystal structure
```
data_Hg3Rh2
_chemical_formula_sum 'Hg9 Rh6'
_space_group_name_H-M_alt 'R -3 m'
_space_group_IT_number 166
_space_group_name_Hall '-R 3 2"'
_cell_length_a 3.0646
_cell_length_b 3.0646
_cell_length_c 34.5612
_cell_angle_alpha 90.00
_cell_angle_beta 90.00
_cell_angle_gamma 120.00
loop_
_atom_site_label
_atom_site_fract_x
_atom_site_fract_y
_atom_site_fract_z
Hg1 0.0000 0.0000 0.0000
Hg2 0.0000 0.0000 0.2058
Rh1 0.0000 0.0000 0.3969
```

Most intense lines, 2θ = 5–70°, in order of rising 2θ:
- hkl 0 0 9, d 3.840, intensity 9
- hkl 1 0 4, d 2.537, intensity 6
- hkl 0 1 5, d 2.478, intensity 100
- hkl 0 0 15, d 2.304, intensity 23
- hkl 1 0 10, d 2.105, intensity 59
- hkl 0 1 14, d 1.808, intensity 5
- hkl 1 1 0, d 1.532, intensity 23
- hkl 1 0 19, d 1.500, intensity 4
- hkl 0 1 20, d 1.448, intensity 14
- hkl 1 1 9, d 1.423, intensity 4

=====

Record 12
Cu2Au2Cl7: calculated XRD peak list (copper Kα), based on a structure optimized by DFT (GGA-PBE).
Neutral-atom scattering factors, no anomalous dispersion.

Crystal structure
```
data_Cu2Au2Cl7
_chemical_formula_sum 'Cu8 Au8 Cl28'
_space_group_name_H-M_alt 'C 1 2/c 1'
_space_group_IT_number 15
_cell_length_a 11.1745
_cell_length_b 8.5307
_cell_length_c 14.4107
_cell_angle_alpha 90.00
_cell_angle_beta 103.91
_cell_angle_gamma 90.00
loop_
_space_group_symop_operation_xyz
'x,y,z'
'-x,-y,-z'
'-x,y,-z+1/2'
'x,-y,z+1/2'
'x+1/2,y+1/2,z'
'-x+1/2,-y+1/2,-z'
'-x+1/2,y+1/2,-z+1/2'
'x+1/2,-y+1/2,z+1/2'
loop_
_atom_site_label
_atom_site_fract_x
_atom_site_fract_y
_atom_site_fract_z
Cu1 0.2200 0.0726 0.4860
Au1 0.1093 0.2986 0.8106
Cl1 0.0000 0.4711 0.2500
Cl2 0.1247 0.2782 0.5410
Cl3 0.1598 0.0346 0.8336
Cl4 0.1939 0.1208 0.0855
```

Most intense lines, 2θ = 5–70°, in order of rising 2θ:
- hkl 1 1 -1, d 6.431, intensity 100
- hkl 1 1 1, d 5.724, intensity 54
- hkl 2 0 -2, d 4.893, intensity 74
- hkl 1 1 -3, d 4.126, intensity 76
- hkl 0 2 1, d 4.080, intensity 20
- hkl 2 0 -4, d 3.326, intensity 37
- hkl 2 0 4, d 2.662, intensity 23
- hkl 2 2 -4, d 2.623, intensity 17
- hkl 3 1 3, d 2.464, intensity 17
- hkl 3 1 -5, d 2.422, intensity 19

=====

Record 13
Pu2TlAg3: calculated XRD peak list (copper Kα), based on a structure optimized by DFT (GGA-PBE).
Neutral-atom scattering factors, no anomalous dispersion.

Crystal structure
```
data_Pu2TlAg3
_chemical_formula_sum 'Pu4 Tl2 Ag6'
_space_group_name_H-M_alt 'I m m 2'
_space_group_IT_number 44
_cell_length_a 3.0766
_cell_length_b 5.0771
_cell_length_c 18.6341
_cell_angle_alpha 90.00
_cell_angle_beta 90.00
_cell_angle_gamma 90.00
loop_
_space_group_symop_operation_xyz
'x,y,z'
'-x,-y,z'
'-x,y,z'
'x,-y,z'
'x+1/2,y+1/2,z+1/2'
'-x+1/2,-y+1/2,z+1/2'
'-x+1/2,y+1/2,z+1/2'
'x+1/2,-y+1/2,z+1/2'
loop_
_atom_site_label
_atom_site_fract_x
_atom_site_fract_y
_atom_site_fract_z
Pu1 0.0000 0.0000 0.0000
Pu2 0.0000 0.5000 0.2490
Tl1 0.0000 0.0000 0.5883
Ag1 0.0000 0.0000 0.4336
Ag2 0.0000 0.5000 0.6630
Ag3 0.0000 0.5000 0.8117
```

Most intense lines, 2θ = 5–70°, in order of rising 2θ:
- hkl 0 0 2, d 9.317, intensity 9
- hkl 0 0 4, d 4.659, intensity 10
- hkl 0 1 3, d 3.931, intensity 10
- hkl 0 1 5, d 3.004, intensity 27
- hkl 1 0 3, d 2.757, intensity 10
- hkl 0 2 0, d 2.534, intensity 100
- hkl 1 0 5, d 2.373, intensity 23
- hkl 0 1 7, d 2.358, intensity 35
- hkl 1 2 5, d 1.733, intensity 17
- hkl 1 3 2, d 1.464, intensity 13